1.
# NaPuP
Theoretical PXRD pattern, Cu Kα. Input: DFT lattice parameters and positions (GGA-PBE).

Peak list (12 most intense, 10° ≤ 2θ ≤ 90°, sorted by position)
2θ (°)	intensity	hkl
14.46	100.0	1 1 1
23.98	22.9	1 3 1
25.76	48.1	2 0 2
26.67	21.3	3 1 1
27.04	25.6	0 4 0
31.73	15.6	4 0 0
32.40	20.1	1 1 3
32.98	20.2	3 3 1
37.69	55.1	2 4 2
37.85	11.2	1 3 3
52.98	13.4	4 0 4
60.48	16.2	4 4 4

Crystal structure
```
data_NaPuP
_space_group_name_H-M_alt 'F d d 2'
_space_group_IT_number 43
_space_group_name_Hall 'F 2 -2d'
_cell_length_a 11.2789
_cell_length_b 13.1891
_cell_length_c 8.7565
_cell_angle_alpha 90.00
_cell_angle_beta 90.00
_cell_angle_gamma 90.00
loop_
_atom_site_label
_atom_site_fract_x
_atom_site_fract_y
_atom_site_fract_z
Na1 0.0785 0.3741 0.0000
Pu1 0.0164 0.3762 0.5770
P1 0.0424 0.2691 0.3003
```

2.
# NaPuP2S8
Theoretical PXRD pattern, Cu Kα. Input: DFT lattice parameters and positions (GGA-PBE).

Peak list (12 most intense, 10° ≤ 2θ ≤ 90°, sorted by position)
2θ (°)	intensity	hkl
17.14	86.4	1 0 1
18.03	26.5	0 1 2
21.23	100.0	1 0 4
23.36	60.0	0 1 5
28.30	26.3	1 0 7
29.36	40.2	1 1 0
30.99	59.7	0 1 8
35.39	69.2	2 -1 6
36.52	25.8	0 2 4
47.53	24.4	2 1 4
49.75	38.5	1 1 12
52.08	30.3	3 0 0

Crystal structure
```
data_NaPuP2S8
_space_group_name_H-M_alt 'R -3'
_space_group_IT_number 148
_space_group_name_Hall '-R 3'
_cell_length_a 6.0834
_cell_length_b 6.0834
_cell_length_c 27.5586
_cell_angle_alpha 90.00
_cell_angle_beta 90.00
_cell_angle_gamma 120.00
loop_
_atom_site_label
_atom_site_fract_x
_atom_site_fract_y
_atom_site_fract_z
Na1 0.0000 0.0000 0.0000
Pu1 0.0000 0.0000 0.5000
P1 0.0000 0.0000 0.2494
S1 0.0000 0.0000 0.3216
S2 0.0000 0.3551 0.5586
```

3.
# RbNaP
Theoretical PXRD pattern, Cu Kα. Input: DFT lattice parameters and positions (GGA-PBE).

Peak list (12 most intense, 10° ≤ 2θ ≤ 90°, sorted by position)
2θ (°)	intensity	hkl
16.06	31.4	0 0 2
21.62	73.2	2 0 1
22.63	100.0	1 1 -1
24.21	62.1	2 0 -2
27.38	72.2	1 1 2
31.92	83.3	1 1 -3
32.45	31.7	2 0 3
35.17	79.6	3 1 0
38.74	32.7	0 2 0
39.92	25.5	1 1 4
40.88	22.5	0 0 5
44.84	37.9	4 0 -3

Crystal structure
```
data_RbNaP
_space_group_name_H-M_alt 'C 1 2/m 1'
_space_group_IT_number 12
_cell_length_a 9.1871
_cell_length_b 4.6492
_cell_length_c 11.0748
_cell_angle_alpha 90.00
_cell_angle_beta 94.70
_cell_angle_gamma 90.00
loop_
_space_group_symop_operation_xyz
'x,y,z'
'-x,-y,-z'
'-x,y,-z'
'x,-y,z'
'x+1/2,y+1/2,z'
'-x+1/2,-y+1/2,-z'
'-x+1/2,y+1/2,-z'
'x+1/2,-y+1/2,z'
loop_
_atom_site_label
_atom_site_fract_x
_atom_site_fract_y
_atom_site_fract_z
Rb1 0.1687 0.0000 0.2104
Na1 0.1529 0.0000 0.5579
P1 0.0301 0.5000 0.4034
```

4.
# RbNaPSe3
Theoretical PXRD pattern, Cu Kα. Input: DFT lattice parameters and positions (GGA-PBE).

Peak list (12 most intense, 10° ≤ 2θ ≤ 90°, sorted by position)
2θ (°)	intensity	hkl
10.80	68.8	0 0 1
13.28	30.7	1 1 0
21.71	48.0	0 0 2
26.07	36.9	1 1 2
27.79	32.7	4 0 0
28.42	100.0	2 2 -1
29.40	91.4	2 2 1
30.83	27.7	4 0 1
32.81	22.5	0 0 3
33.87	64.1	4 0 -2
48.47	23.6	6 2 0
48.92	42.9	6 2 -1

Crystal structure
```
data_RbNaPSe3
_space_group_name_H-M_alt 'C 1 2/m 1'
_space_group_IT_number 12
_cell_length_a 12.8968
_cell_length_b 7.8025
_cell_length_c 8.2228
_cell_angle_alpha 90.00
_cell_angle_beta 95.25
_cell_angle_gamma 90.00
loop_
_space_group_symop_operation_xyz
'x,y,z'
'-x,-y,-z'
'-x,y,-z'
'x,-y,z'
'x+1/2,y+1/2,z'
'-x+1/2,-y+1/2,-z'
'-x+1/2,y+1/2,-z'
'x+1/2,-y+1/2,z'
loop_
_atom_site_label
_atom_site_fract_x
_atom_site_fract_y
_atom_site_fract_z
Rb1 0.1643 0.0000 0.3818
Na1 0.0000 0.2951 0.0000
P1 0.0173 0.5000 0.6410
Se1 0.1061 0.2636 0.7060
Se2 0.1332 0.5000 0.2492
```

5.
# NaP2Rh3
Theoretical PXRD pattern, Cu Kα. Input: DFT lattice parameters and positions (GGA-PBE).

Peak list (12 most intense, 10° ≤ 2θ ≤ 90°, sorted by position)
2θ (°)	intensity	hkl
19.11	100.0	1 1 0
26.27	22.2	1 0 1
32.69	79.3	2 0 1
33.42	24.1	3 0 0
41.43	90.7	3 0 1
45.09	44.9	4 0 0
46.00	64.3	2 2 1
47.45	24.0	3 1 1
48.66	29.8	0 0 2
49.39	21.7	3 2 0
68.50	25.1	4 0 2
89.13	23.5	7 0 1

Crystal structure
```
data_NaP2Rh3
_space_group_name_H-M_alt 'P 6/m m m'
_space_group_IT_number 191
_space_group_name_Hall '-P 6 2'
_cell_length_a 9.2876
_cell_length_b 9.2876
_cell_length_c 3.7422
_cell_angle_alpha 90.00
_cell_angle_beta 90.00
_cell_angle_gamma 120.00
loop_
_atom_site_label
_atom_site_fract_x
_atom_site_fract_y
_atom_site_fract_z
Na1 0.0000 0.0000 0.0000
Na2 0.3333 0.6667 0.5000
P1 0.1938 0.3877 0.0000
Rh1 0.0000 0.2851 0.5000
Rh2 0.0000 0.5000 0.0000
```

6.
# NaSr2PRh
Theoretical PXRD pattern, Cu Kα. Input: DFT lattice parameters and positions (GGA-PBE).

Peak list (12 most intense, 10° ≤ 2θ ≤ 90°, sorted by position)
2θ (°)	intensity	hkl
14.90	44.7	1 0 0
29.30	100.0	1 1 1
30.06	70.4	2 0 0
33.71	11.3	2 1 0
40.77	15.1	0 0 2
43.03	25.7	2 2 0
51.47	30.0	2 0 2
52.90	37.6	3 1 1
60.77	18.0	2 2 2
70.88	11.3	4 2 0
83.23	9.9	3 1 3
85.13	14.0	4 2 2

Crystal structure
```
data_NaSr2PRh
_space_group_name_H-M_alt 'P 4/m m m'
_space_group_IT_number 123
_space_group_name_Hall '-P 4 2'
_cell_length_a 5.9461
_cell_length_b 5.9461
_cell_length_c 4.4265
_cell_angle_alpha 90.00
_cell_angle_beta 90.00
_cell_angle_gamma 90.00
loop_
_atom_site_label
_atom_site_fract_x
_atom_site_fract_y
_atom_site_fract_z
Na1 0.0000 0.0000 0.0000
Sr1 0.0000 0.5000 0.5000
P1 0.5000 0.5000 0.5000
Rh1 0.5000 0.5000 0.0000
```

7.
# Na7PS6
Theoretical PXRD pattern, Cu Kα. Input: DFT lattice parameters and positions (GGA-PBE).

Peak list (12 most intense, 10° ≤ 2θ ≤ 90°, sorted by position)
2θ (°)	intensity	hkl
17.81	69.1	0 2 2
18.46	100.0	1 1 2
25.60	80.1	1 2 3
27.46	51.4	0 2 4
30.02	84.5	1 4 1
30.80	32.8	2 2 2
32.63	40.2	2 3 1
33.78	25.1	1 3 4
36.96	57.2	2 3 3
38.75	39.3	2 4 2
40.05	59.0	2 1 5
47.43	25.9	0 6 4

Crystal structure
```
data_Na7PS6
_space_group_name_H-M_alt 'I b a m'
_space_group_IT_number 72
_space_group_name_Hall '-I 2 2c'
_cell_length_a 7.1461
_cell_length_b 13.4292
_cell_length_c 14.8474
_cell_angle_alpha 90.00
_cell_angle_beta 90.00
_cell_angle_gamma 90.00
loop_
_atom_site_label
_atom_site_fract_x
_atom_site_fract_y
_atom_site_fract_z
Na1 0.0000 0.0000 0.2500
Na2 0.1262 0.2808 0.1103
Na3 0.2101 0.0311 0.0000
P1 0.0000 0.5000 0.2500
S1 0.0895 0.1604 0.5000
S2 0.1702 0.4091 0.3264
```

8.
# NaPS4
Theoretical PXRD pattern, Cu Kα. Input: DFT lattice parameters and positions (GGA-PBE).

Peak list (12 most intense, 10° ≤ 2θ ≤ 90°, sorted by position)
2θ (°)	intensity	hkl
15.07	100.0	0 1 1
18.89	32.7	1 2 0
26.17	35.3	0 0 2
26.30	40.2	0 3 1
27.32	54.2	2 1 1
28.70	12.5	1 3 1
30.51	19.0	0 4 0
34.99	20.6	2 3 1
37.64	24.9	3 1 1
40.65	28.1	0 4 2
46.28	14.6	4 0 0
46.89	27.9	2 1 3

Crystal structure
```
data_NaPS4
_space_group_name_H-M_alt 'A m a 2'
_space_group_IT_number 40
_cell_length_a 7.8456
_cell_length_b 11.7207
_cell_length_c 6.8091
_cell_angle_alpha 90.00
_cell_angle_beta 90.00
_cell_angle_gamma 90.00
loop_
_space_group_symop_operation_xyz
'x,y,z'
'-x,-y,z'
'-x+1/2,y,z'
'x+1/2,-y,z'
'x,y+1/2,z+1/2'
'-x,-y+1/2,z+1/2'
'-x+1/2,y+1/2,z+1/2'
'x+1/2,-y+1/2,z+1/2'
loop_
_atom_site_label
_atom_site_fract_x
_atom_site_fract_y
_atom_site_fract_z
Na1 0.0000 0.0000 0.0000
P1 0.2500 0.0638 0.4853
S1 0.0498 0.1411 0.3376
S2 0.2500 0.0957 0.7733
S3 0.2500 0.3831 0.9168
```

9.
# NaSbP2S8
Theoretical PXRD pattern, Cu Kα. Input: DFT lattice parameters and positions (GGA-PBE).

Peak list (12 most intense, 10° ≤ 2θ ≤ 90°, sorted by position)
2θ (°)	intensity	hkl
17.42	49.9	1 0 1
21.32	100.0	1 0 4
23.36	49.2	0 1 5
29.90	33.4	1 1 0
30.75	22.7	0 1 8
31.43	44.3	1 1 3
35.64	76.2	2 -1 6
37.02	27.7	0 2 4
39.32	17.4	0 1 11
48.30	23.7	2 1 4
49.44	44.1	1 1 12
53.09	42.1	3 0 0

Crystal structure
```
data_NaSbP2S8
_space_group_name_H-M_alt 'R -3'
_space_group_IT_number 148
_space_group_name_Hall '-R 3'
_cell_length_a 5.9758
_cell_length_b 5.9758
_cell_length_c 28.1142
_cell_angle_alpha 90.00
_cell_angle_beta 90.00
_cell_angle_gamma 120.00
loop_
_atom_site_label
_atom_site_fract_x
_atom_site_fract_y
_atom_site_fract_z
Na1 0.0000 0.0000 0.0000
Sb1 0.0000 0.0000 0.5000
P1 0.0000 0.0000 0.2447
S1 0.0000 0.0000 0.3153
S2 0.0094 0.3248 0.8904
```

10.
# NaVP2S8
Theoretical PXRD pattern, Cu Kα. Input: DFT lattice parameters and positions (GGA-PBE).

Peak list (12 most intense, 10° ≤ 2θ ≤ 90°, sorted by position)
2θ (°)	intensity	hkl
17.76	21.8	1 0 1
21.80	99.1	1 0 4
23.91	22.9	0 1 5
29.41	39.3	0 0 9
30.48	24.1	1 1 0
32.06	100.0	2 -1 3
36.43	94.7	1 1 6
37.78	24.6	0 2 4
50.74	42.5	2 -1 12
54.16	60.4	3 0 0
59.74	24.6	2 -1 15
62.83	21.3	3 0 9

Crystal structure
```
data_NaVP2S8
_space_group_name_H-M_alt 'R -3'
_space_group_IT_number 148
_space_group_name_Hall '-R 3'
_cell_length_a 5.8662
_cell_length_b 5.8662
_cell_length_c 27.3375
_cell_angle_alpha 90.00
_cell_angle_beta 90.00
_cell_angle_gamma 120.00
loop_
_atom_site_label
_atom_site_fract_x
_atom_site_fract_y
_atom_site_fract_z
Na1 0.0000 0.0000 0.0000
V1 0.0000 0.0000 0.5000
P1 0.0000 0.0000 0.2387
S1 0.0000 0.0000 0.3111
S2 0.9999 0.3402 0.7848
```

11.
# NaZnP2S6
Theoretical PXRD pattern, Cu Kα. Input: DFT lattice parameters and positions (GGA-PBE).

Peak list (12 most intense, 10° ≤ 2θ ≤ 90°, sorted by position)
2θ (°)	intensity	hkl
14.25	92.7	1 1 -1
20.62	100.0	0 2 1
22.02	66.1	2 2 0
22.13	51.7	3 1 -1
24.75	50.6	3 1 0
26.24	35.2	1 3 -1
27.31	55.8	3 1 -2
31.34	69.7	3 3 -1
34.11	48.2	4 2 -2
35.27	36.0	3 3 -2
45.17	36.6	6 2 -2
54.28	45.0	5 3 1

Crystal structure
```
data_NaZnP2S6
_space_group_name_H-M_alt 'C 1 2/c 1'
_space_group_IT_number 15
_cell_length_a 12.9472
_cell_length_b 11.4731
_cell_length_c 7.4338
_cell_angle_alpha 90.00
_cell_angle_beta 118.64
_cell_angle_gamma 90.00
loop_
_space_group_symop_operation_xyz
'x,y,z'
'-x,-y,-z'
'-x,y,-z+1/2'
'x,-y,z+1/2'
'x+1/2,y+1/2,z'
'-x+1/2,-y+1/2,-z'
'-x+1/2,y+1/2,-z+1/2'
'x+1/2,-y+1/2,z+1/2'
loop_
_atom_site_label
_atom_site_fract_x
_atom_site_fract_y
_atom_site_fract_z
Na1 0.0000 0.1445 0.2500
Zn1 0.0000 0.2184 0.7500
P1 0.2090 0.4276 0.1567
S1 0.1111 0.0733 0.6704
S2 0.1377 0.2626 0.0873
S3 0.1469 0.4565 0.4275
```

12.
# Na2ZnPSe4
Theoretical PXRD pattern, Cu Kα. Input: DFT lattice parameters and positions (GGA-PBE).

Peak list (12 most intense, 10° ≤ 2θ ≤ 90°, sorted by position)
2θ (°)	intensity	hkl
10.73	47.2	0 1 0
17.51	38.2	0 1 1
23.77	100.0	2 1 0
25.69	27.1	0 2 1
27.59	47.7	2 1 1
27.80	79.5	0 0 2
35.50	25.3	0 3 1
36.90	38.5	2 1 2
39.17	47.5	2 3 0
43.07	31.7	4 0 0
48.71	37.5	2 3 2
52.04	23.7	4 0 2

Crystal structure
```
data_Na2ZnPSe4
_space_group_name_H-M_alt 'P m n 21'
_space_group_IT_number 31
_cell_length_a 8.4016
_cell_length_b 8.2438
_cell_length_c 6.4182
_cell_angle_alpha 90.00
_cell_angle_beta 90.00
_cell_angle_gamma 90.00
loop_
_space_group_symop_operation_xyz
'x,y,z'
'-x+1/2,-y,z+1/2'
'-x,y,z'
'x+1/2,-y,z+1/2'
loop_
_atom_site_label
_atom_site_fract_x
_atom_site_fract_y
_atom_site_fract_z
Na1 0.2378 0.1612 0.0000
Zn1 0.0000 0.3648 0.5204
P1 0.0000 0.6694 0.0319
Se1 0.0000 0.4136 0.9088
Se2 0.0000 0.6423 0.3839
Se3 0.2403 0.1957 0.4602
```